(1)
Structure and theoretical X-ray diffraction stick pattern of Zr3Ni3Bi4 (a crystal structure in Alexandria, relaxed with PBE; Cu Kα (λ = 1.5418 Å)).
Neutral-atom scattering factors, no anomalous dispersion.

Crystal structure
Lattice parameters (Å, degrees): 8.1245 8.1245 8.1245 109.47 109.47 109.47
Element x y z (fractional)
Zr1 0.1250 0.8750 0.2500
Zr2 0.2500 0.1250 0.8750
Zr3 0.3750 0.6250 0.7500
Zr4 0.6250 0.7500 0.3750
Zr5 0.7500 0.3750 0.6250
Zr6 0.8750 0.2500 0.1250
Ni1 0.1250 0.7500 0.8750
Ni2 0.2500 0.6250 0.3750
Ni3 0.3750 0.2500 0.6250
Ni4 0.6250 0.3750 0.2500
Ni5 0.7500 0.8750 0.1250
Ni6 0.8750 0.1250 0.7500
Bi1 0.0000 0.1703 0.5000
Bi2 0.0000 0.6703 0.5000
Bi3 0.1703 0.5000 0.0000
Bi4 0.3297 0.3297 0.3297
Bi5 0.5000 0.0000 0.1703
Bi6 0.5000 0.0000 0.6703
Bi7 0.6703 0.5000 0.0000
Bi8 0.8297 0.8297 0.8297

Most intense lines, 15 to 90 degrees two-theta, in order of falling intensity:
- 2θ = 35.81°, d 2.507, rel. 100.0
- 2θ = 30.12°, d 2.967, rel. 45.7
- 2θ = 47.48°, d 1.915, rel. 26.0
- 2θ = 49.54°, d 1.840, rel. 24.7
- 2θ = 23.22°, d 3.830, rel. 24.0
- 2θ = 60.87°, d 1.522, rel. 14.1
- 2θ = 62.63°, d 1.483, rel. 11.9
- 2θ = 71.05°, d 1.327, rel. 11.8
- 2θ = 43.12°, d 2.098, rel. 11.4
- 2θ = 88.42°, d 1.106, rel. 10.4

(2)
Structure and theoretical X-ray diffraction stick pattern of Ac3La2Pm3 (a crystal structure in Alexandria, relaxed with PBE; Cu Kα (λ = 1.5418 Å)).
Neutral-atom scattering factors, no anomalous dispersion.

Crystal structure
Lattice parameters (Å, degrees): 5.3616 5.4016 10.6904 90.00 90.00 90.00
Element x y z (fractional)
Ac1 0.0000 0.0000 0.0000
Ac2 0.0000 0.0000 0.5000
Ac3 0.5000 0.5000 0.0000
La1 0.0000 0.5000 0.2555
La2 0.0000 0.5000 0.7445
Pm1 0.5000 0.0000 0.2545
Pm2 0.5000 0.0000 0.7455
Pm3 0.5000 0.5000 0.5000

Most intense lines, 15 to 90 degrees two-theta, in order of falling intensity:
- 2θ = 28.80°, d 3.100, rel. 100.0
- 2θ = 47.84°, d 1.901, rel. 25.1
- 2θ = 33.17°, d 2.701, rel. 17.4
- 2θ = 33.43°, d 2.681, rel. 17.0
- 2θ = 33.53°, d 2.673, rel. 16.8
- 2θ = 56.60°, d 1.626, rel. 15.3
- 2θ = 56.94°, d 1.617, rel. 15.1
- 2θ = 57.08°, d 1.614, rel. 14.8
- 2θ = 59.65°, d 1.550, rel. 13.0
- 2θ = 48.07°, d 1.893, rel. 12.3

(3)
Structure and theoretical X-ray diffraction stick pattern of Zn3Cd (a crystal structure in Alexandria, relaxed with PBE; Cu Kα (λ = 1.5418 Å)).
Neutral-atom scattering factors, no anomalous dispersion.

Crystal structure
Lattice parameters (Å, degrees): 3.0009 4.8676 4.8139 90.00 94.42 90.00
Element x y z (fractional)
Zn1 0.0000 0.0000 0.0000
Zn2 0.2443 0.5000 0.2390
Zn3 0.7557 0.5000 0.7610
Cd1 0.5000 0.0000 0.5000

Most intense lines, 15 to 90 degrees two-theta, in order of falling intensity:
- 2θ = 41.18°, d 2.192, rel. 100.0
- 2θ = 41.98°, d 2.152, rel. 94.2
- 2θ = 34.07°, d 2.632, rel. 85.7
- 2θ = 36.93°, d 2.434, rel. 68.6
- 2θ = 51.12°, d 1.787, rel. 52.1
- 2θ = 65.25°, d 1.430, rel. 23.9
- 2θ = 66.99°, d 1.397, rel. 21.7
- 2θ = 69.43°, d 1.354, rel. 19.6
- 2θ = 70.00°, d 1.344, rel. 19.1
- 2θ = 80.57°, d 1.192, rel. 12.5

(4)
Structure and theoretical X-ray diffraction stick pattern of Cu3BiAu3 (a crystal structure in Alexandria, relaxed with PBE; Cu Kα (λ = 1.5418 Å)).
Neutral-atom scattering factors, no anomalous dispersion.

Crystal structure
Lattice parameters (Å, degrees): 6.9013 6.9013 6.9013 90.00 90.00 90.00
Element x y z (fractional)
Cu1 0.0000 0.2500 0.5000
Cu2 0.0000 0.7500 0.5000
Cu3 0.2500 0.5000 0.0000
Cu4 0.5000 0.0000 0.2500
Cu5 0.5000 0.0000 0.7500
Cu6 0.7500 0.5000 0.0000
Bi1 0.0000 0.0000 0.0000
Bi2 0.5000 0.5000 0.5000
Au1 0.0000 0.5000 0.2500
Au2 0.0000 0.5000 0.7500
Au3 0.2500 0.0000 0.5000
Au4 0.5000 0.2500 0.0000
Au5 0.5000 0.7500 0.0000
Au6 0.7500 0.0000 0.5000

Most intense lines, 15 to 90 degrees two-theta, in order of falling intensity:
- 2θ = 31.76°, d 2.817, rel. 100.0
- 2θ = 49.41°, d 1.844, rel. 59.1
- 2θ = 25.82°, d 3.451, rel. 42.0
- 2θ = 28.93°, d 3.086, rel. 36.8
- 2θ = 53.08°, d 1.725, rel. 26.8
- 2θ = 45.53°, d 1.992, rel. 19.4
- 2θ = 87.04°, d 1.120, rel. 18.5
- 2θ = 78.38°, d 1.220, rel. 17.3
- 2θ = 75.45°, d 1.260, rel. 17.1
- 2θ = 59.94°, d 1.543, rel. 16.6

(5)
Structure and theoretical X-ray diffraction stick pattern of Na3HgAs2 (a crystal structure in Alexandria, relaxed with PBE; Cu Kα (λ = 1.5418 Å)).
Neutral-atom scattering factors, no anomalous dispersion.

Crystal structure
Lattice parameters (Å, degrees): 8.1728 8.1728 8.1728 133.41 80.92 118.08
Element x y z (fractional)
Na1 0.0310 0.7500 0.2810
Na2 0.2500 0.2500 0.0000
Na3 0.4690 0.7500 0.7190
Na4 0.5310 0.2500 0.2810
Na5 0.7500 0.7500 0.0000
Na6 0.9690 0.2500 0.7190
Hg1 0.0000 0.5000 0.5000
Hg2 0.5000 0.0000 0.5000
As1 0.1344 0.2038 0.3381
As2 0.3656 0.7038 0.0694
As3 0.6344 0.2962 0.9306
As4 0.8656 0.7962 0.6619

Most intense lines, 15 to 90 degrees two-theta, in order of falling intensity:
- 2θ = 33.37°, d 2.685, rel. 100.0
- 2θ = 25.55°, d 3.486, rel. 88.3
- 2θ = 15.45°, d 5.736, rel. 87.6
- 2θ = 26.28°, d 3.391, rel. 75.6
- 2θ = 21.13°, d 4.205, rel. 73.6
- 2θ = 22.48°, d 3.955, rel. 72.5
- 2θ = 40.25°, d 2.241, rel. 53.5
- 2θ = 45.91°, d 1.977, rel. 48.1
- 2θ = 37.98°, d 2.369, rel. 47.5
- 2θ = 48.00°, d 1.895, rel. 37.7

(6)
Structure and theoretical X-ray diffraction stick pattern of Sr3Mg5Tl6 (a crystal structure in Alexandria, relaxed with PBE; Cu Kα (λ = 1.5418 Å)).
Neutral-atom scattering factors, no anomalous dispersion.

Crystal structure
Lattice parameters (Å, degrees): 5.0533 14.5111 11.0612 90.00 90.00 90.00
Element x y z (fractional)
Sr1 0.2500 0.0464 0.2494
Sr2 0.2500 0.4536 0.2494
Sr3 0.2500 0.7500 0.2506
Sr4 0.7500 0.2500 0.7494
Sr5 0.7500 0.5464 0.7506
Sr6 0.7500 0.9536 0.7506
Mg1 0.2500 0.0996 0.6071
Mg2 0.2500 0.4004 0.6071
Mg3 0.2500 0.6027 0.9807
Mg4 0.2500 0.7500 0.7554
Mg5 0.2500 0.8973 0.9807
Mg6 0.7500 0.1027 0.0193
Mg7 0.7500 0.2500 0.2446
Mg8 0.7500 0.3973 0.0193
Mg9 0.7500 0.5996 0.3929
Mg10 0.7500 0.9004 0.3929
Tl1 0.2500 0.0911 0.8721
Tl2 0.2500 0.2500 0.0695
Tl3 0.2500 0.2500 0.4173
Tl4 0.2500 0.4089 0.8721
Tl5 0.2500 0.6036 0.5325
Tl6 0.2500 0.8964 0.5325
Tl7 0.7500 0.1036 0.4675
Tl8 0.7500 0.3964 0.4675
Tl9 0.7500 0.5911 0.1279
Tl10 0.7500 0.7500 0.5827
Tl11 0.7500 0.7500 0.9305
Tl12 0.7500 0.9089 0.1279

Most intense lines, 15 to 90 degrees two-theta, in order of falling intensity:
- 2θ = 30.26°, d 2.954, rel. 100.0
- 2θ = 35.53°, d 2.527, rel. 54.8
- 2θ = 26.76°, d 3.332, rel. 52.7
- 2θ = 32.50°, d 2.755, rel. 48.9
- 2θ = 31.41°, d 2.848, rel. 43.9
- 2θ = 20.26°, d 4.383, rel. 43.8
- 2θ = 58.60°, d 1.575, rel. 36.7
- 2θ = 39.14°, d 2.302, rel. 35.7
- 2θ = 37.18°, d 2.419, rel. 32.2
- 2θ = 37.59°, d 2.393, rel. 29.6

(7)
Structure and theoretical X-ray diffraction stick pattern of Ac6Pr3Ho2 (a crystal structure in Alexandria, relaxed with PBE; Cu Kα (λ = 1.5418 Å)).
Neutral-atom scattering factors, no anomalous dispersion.

Crystal structure
Lattice parameters (Å, degrees): 7.0849 7.5921 8.9106 104.35 92.36 103.45
Element x y z (fractional)
Ac1 0.0384 0.2413 0.4831
Ac2 0.1734 0.9377 0.1310
Ac3 0.3742 0.6622 0.7643
Ac4 0.6258 0.3378 0.2357
Ac5 0.8266 0.0623 0.8690
Ac6 0.9616 0.7587 0.5169
Pr1 0.1728 0.4823 0.1610
Pr2 0.5000 0.0000 0.5000
Pr3 0.8272 0.5177 0.8390
Ho1 0.3431 0.1887 0.8429
Ho2 0.6569 0.8113 0.1571

Most intense lines, 15 to 90 degrees two-theta, in order of falling intensity:
- 2θ = 29.09°, d 3.070, rel. 100.0
- 2θ = 30.10°, d 2.969, rel. 42.7
- 2θ = 31.26°, d 2.862, rel. 29.2
- 2θ = 31.66°, d 2.826, rel. 25.9
- 2θ = 29.60°, d 3.018, rel. 23.6
- 2θ = 31.37°, d 2.852, rel. 21.3
- 2θ = 29.21°, d 3.058, rel. 17.9
- 2θ = 23.27°, d 3.823, rel. 17.2
- 2θ = 26.95°, d 3.308, rel. 14.1
- 2θ = 28.14°, d 3.171, rel. 12.9

(8)
Structure and theoretical X-ray diffraction stick pattern of KRb2Pa2Te5 (a crystal structure in Alexandria, relaxed with PBE; Cu Kα (λ = 1.5418 Å)).
Neutral-atom scattering factors, no anomalous dispersion.

Crystal structure
Lattice parameters (Å, degrees): 13.8828 13.8828 4.0576 90.00 90.00 90.00
Element x y z (fractional)
K1 0.0000 0.0000 0.0000
K2 0.5000 0.5000 0.0000
Rb1 0.1816 0.3184 0.0000
Rb2 0.3184 0.8184 0.0000
Rb3 0.6816 0.1816 0.0000
Rb4 0.8184 0.6816 0.0000
Pa1 0.1192 0.6192 0.0000
Pa2 0.3808 0.1192 0.0000
Pa3 0.6192 0.8808 0.0000
Pa4 0.8808 0.3808 0.0000
Te1 0.0000 0.5000 0.5000
Te2 0.0717 0.7806 0.5000
Te3 0.2194 0.0717 0.5000
Te4 0.2806 0.5717 0.5000
Te5 0.4283 0.2806 0.5000
Te6 0.5000 0.0000 0.5000
Te7 0.5717 0.7194 0.5000
Te8 0.7194 0.4283 0.5000
Te9 0.7806 0.9283 0.5000
Te10 0.9283 0.2194 0.5000

Most intense lines, 15 to 90 degrees two-theta, in order of falling intensity:
- 2θ = 32.05°, d 2.793, rel. 100.0
- 2θ = 29.99°, d 2.980, rel. 88.6
- 2θ = 26.47°, d 3.367, rel. 52.8
- 2θ = 33.99°, d 2.637, rel. 47.7
- 2θ = 46.24°, d 1.963, rel. 24.4
- 2θ = 66.23°, d 1.411, rel. 21.9
- 2θ = 27.25°, d 3.272, rel. 21.2
- 2θ = 43.74°, d 2.070, rel. 20.5
- 2θ = 53.08°, d 1.725, rel. 20.3
- 2θ = 44.67°, d 2.029, rel. 20.0

(9)
Structure and theoretical X-ray diffraction stick pattern of BaAlNF2 (a crystal structure in Alexandria, relaxed with PBE; Cu Kα (λ = 1.5418 Å)).
Neutral-atom scattering factors, no anomalous dispersion.

Crystal structure
Lattice parameters (Å, degrees): 4.2950 4.2950 3.7118 90.00 90.00 90.00
Element x y z (fractional)
Ba1 0.0000 0.0000 0.0000
Al1 0.5000 0.5000 0.5000
N1 0.5000 0.5000 0.0000
F1 0.0000 0.5000 0.5000
F2 0.5000 0.0000 0.5000

Most intense lines, 15 to 90 degrees two-theta, in order of falling intensity:
- 2θ = 31.87°, d 2.808, rel. 100.0
- 2θ = 38.29°, d 2.351, rel. 70.7
- 2θ = 53.75°, d 1.706, rel. 55.6
- 2θ = 20.68°, d 4.295, rel. 53.9
- 2θ = 29.41°, d 3.037, rel. 51.7
- 2θ = 42.08°, d 2.148, rel. 48.1
- 2θ = 66.59°, d 1.404, rel. 26.4
- 2θ = 49.06°, d 1.857, rel. 23.9
- 2θ = 70.53°, d 1.335, rel. 19.3
- 2θ = 74.37°, d 1.276, rel. 17.1

(10)
Structure and theoretical X-ray diffraction stick pattern of LaNi2Br (a crystal structure in Alexandria, relaxed with PBE; Cu Kα (λ = 1.5418 Å)).
Neutral-atom scattering factors, no anomalous dispersion.

Crystal structure
Lattice parameters (Å, degrees): 5.2805 4.7157 4.6967 68.25 56.04 55.70
Element x y z (fractional)
La1 0.0000 0.0000 0.0000
Ni1 0.0000 0.5000 0.5000
Ni2 0.5000 0.0000 0.0000
Br1 0.5000 0.5000 0.5000

Most intense lines, 15 to 90 degrees two-theta, in order of falling intensity:
- 2θ = 33.95°, d 2.640, rel. 100.0
- 2θ = 46.79°, d 1.941, rel. 79.5
- 2θ = 31.22°, d 2.865, rel. 62.7
- 2θ = 58.92°, d 1.568, rel. 19.5
- 2θ = 59.21°, d 1.561, rel. 19.2
- 2θ = 75.52°, d 1.259, rel. 18.3
- 2θ = 48.61°, d 1.873, rel. 17.7
- 2θ = 48.95°, d 1.861, rel. 17.3
- 2θ = 80.03°, d 1.199, rel. 15.7
- 2θ = 22.90°, d 3.883, rel. 12.9

(11)
Structure and theoretical X-ray diffraction stick pattern of Er4AlHgC (a crystal structure in Alexandria, relaxed with PBE; Cu Kα (λ = 1.5418 Å)).
Neutral-atom scattering factors, no anomalous dispersion.

Crystal structure
Lattice parameters (Å, degrees): 8.1013 8.1013 6.8413 90.00 90.00 130.02
Element x y z (fractional)
Er1 0.0000 0.5000 0.0000
Er2 0.0000 0.5000 0.5000
Er3 0.0835 0.9165 0.7500
Er4 0.4166 0.5834 0.7500
Er5 0.5000 0.0000 0.0000
Er6 0.5000 0.0000 0.5000
Er7 0.5834 0.4166 0.2500
Er8 0.9165 0.0835 0.2500
Al1 0.1225 0.8775 0.2500
Al2 0.8775 0.1225 0.7500
Hg1 0.3816 0.6184 0.2500
Hg2 0.6184 0.3816 0.7500
C1 0.2498 0.7502 0.7500
C2 0.7502 0.2498 0.2500

Most intense lines, 15 to 90 degrees two-theta, in order of falling intensity:
- 2θ = 35.88°, d 2.503, rel. 100.0
- 2θ = 28.79°, d 3.101, rel. 88.5
- 2θ = 37.16°, d 2.419, rel. 72.7
- 2θ = 66.16°, d 1.412, rel. 37.3
- 2θ = 53.24°, d 1.721, rel. 33.5
- 2θ = 53.57°, d 1.711, rel. 25.5
- 2θ = 36.72°, d 2.448, rel. 24.3
- 2θ = 61.94°, d 1.498, rel. 22.0
- 2θ = 35.76°, d 2.511, rel. 18.2
- 2θ = 66.71°, d 1.402, rel. 17.0

(12)
Structure and theoretical X-ray diffraction stick pattern of Na2LaI5 (a crystal structure in Alexandria, relaxed with PBE; Cu Kα (λ = 1.5418 Å)).
Neutral-atom scattering factors, no anomalous dispersion.

Crystal structure
Lattice parameters (Å, degrees): 14.7936 9.5384 9.3996 90.00 90.00 90.00
Element x y z (fractional)
Na1 0.2205 0.0271 0.1072
Na2 0.2205 0.4729 0.1072
Na3 0.2795 0.5271 0.6072
Na4 0.2795 0.9729 0.6072
Na5 0.7205 0.0271 0.3928
Na6 0.7205 0.4729 0.3928
Na7 0.7795 0.5271 0.8928
Na8 0.7795 0.9729 0.8928
La1 0.0183 0.2500 0.4280
La2 0.4817 0.7500 0.9280
La3 0.5183 0.2500 0.0720
La4 0.9817 0.7500 0.5720
I1 0.0622 0.2500 0.0940
I2 0.0714 0.0377 0.6868
I3 0.0714 0.4623 0.6868
I4 0.1744 0.7500 0.3909
I5 0.2427 0.2500 0.4112
I6 0.2573 0.7500 0.9112
I7 0.3256 0.2500 0.8909
I8 0.4286 0.5377 0.1868
I9 0.4286 0.9623 0.1868
I10 0.4378 0.7500 0.5940
I11 0.5622 0.2500 0.4060
I12 0.5714 0.0377 0.8132
I13 0.5714 0.4623 0.8132
I14 0.6744 0.7500 0.1091
I15 0.7427 0.2500 0.0888
I16 0.7573 0.7500 0.5888
I17 0.8256 0.2500 0.6091
I18 0.9286 0.5377 0.3132
I19 0.9286 0.9623 0.3132
I20 0.9378 0.7500 0.9060

Most intense lines, 15 to 90 degrees two-theta, in order of falling intensity:
- 2θ = 24.13°, d 3.688, rel. 100.0
- 2θ = 25.85°, d 3.446, rel. 78.9
- 2θ = 27.31°, d 3.265, rel. 75.5
- 2θ = 26.63°, d 3.348, rel. 56.0
- 2θ = 37.71°, d 2.385, rel. 52.1
- 2θ = 26.19°, d 3.402, rel. 50.6
- 2θ = 32.08°, d 2.790, rel. 48.8
- 2θ = 38.81°, d 2.320, rel. 41.8
- 2θ = 37.01°, d 2.429, rel. 36.3
- 2θ = 46.85°, d 1.939, rel. 32.8